Calculated PXRD pattern
Compound: Ba2YCr3O8
Radiation: λ = 1.5418 Å (Cu Kα)
Structure: DFT lattice parameters and positions (GGA+U)
Kinematic intensities with the Lorentz-polarization factor, no thermal factor.

Principal peaks in the range 5° ≤ 2θ ≤ 70°, sorted by position:
2θ/deg  d/Å  I_rel  hkl
31.9  2.809  43.9  1 1 0
32.0  2.796  100.0  1 0 3
39.4  2.286  21.5  1 1 3
45.7  1.986  31.7  2 0 0
56.9  1.619  37.3  2 1 3
57.1  1.612  20.6  1 1 6

Cell and atoms:
```
data_Ba2YCr3O8
_chemical_formula_sum 'Ba2 Y1 Cr3 O8'
_space_group_name_H-M_alt 'P 4/m m m'
_space_group_IT_number 123
_space_group_name_Hall '-P 4 2'
_cell_length_a 3.9726
_cell_length_b 3.9726
_cell_length_c 11.8079
_cell_angle_alpha 90.00
_cell_angle_beta 90.00
_cell_angle_gamma 90.00
loop_
_atom_site_label
_atom_site_fract_x
_atom_site_fract_y
_atom_site_fract_z
Ba1 0.0000 0.0000 0.1631
Y1 0.0000 0.0000 0.5000
Cr1 0.5000 0.5000 0.0000
Cr2 0.5000 0.5000 0.3423
O1 0.0000 0.5000 0.0000
O2 0.0000 0.5000 0.3806
O3 0.5000 0.5000 0.1806
```